(1)
Diffraction record for SmY2Ni2B2N3. The powder diffractogram is theoretical, not measured: it uses a structure optimized by DFT (PBE) and λ = 1.5418 Å (Cu Kα).

Peak list (10 most intense, 2θ from 10° to 90°, low angle first)
28.7°, rel. 100; 33.8°, rel. 85; 35.4°, rel. 65; 36.2°, rel. 34; 37.3°, rel. 78; 45.3°, rel. 46; 52.1°, rel. 46; 60.6°, rel. 26; 63.6°, rel. 28; 64.6°, rel. 41

Structure:
```
data_SmY2Ni2B2N3
_chemical_formula_sum 'Sm2 Y4 Ni4 B4 N6'
_space_group_name_H-M_alt 'I 4/m m m'
_space_group_IT_number 139
_space_group_name_Hall '-I 4 2'
_cell_length_a 3.510
_cell_length_b 3.510
_cell_length_c 20.261
_cell_angle_alpha 90.00
_cell_angle_beta 90.00
_cell_angle_gamma 90.00
loop_
_atom_site_label
_atom_site_type_symbol
_atom_site_fract_x
_atom_site_fract_y
_atom_site_fract_z
Sm1 Sm 0.000 0.000 0.000
Y1 Y 0.000 0.000 0.376
Ni1 Ni 0.000 0.500 0.250
B1 B 0.000 0.000 0.191
N1 N 0.000 0.000 0.119
N2 N 0.000 0.000 0.500
```

***

(2)
Diffraction record for PmScNO. The powder diffractogram is theoretical, not measured: it uses a structure optimized by DFT (PBE) and λ = 1.5418 Å (Cu Kα).

Peak list (10 most intense, 2θ from 10° to 90°, low angle first)
11.2°, rel. 50; 25.6°, rel. 40; 26.5°, rel. 35; 27.7°, rel. 34; 32.4°, rel. 100; 33.4°, rel. 29; 37.2°, rel. 39; 48.2°, rel. 31; 60.5°, rel. 25; 62.4°, rel. 27

Structure:
```
data_PmScNO
_chemical_formula_sum 'Pm4 Sc4 N4 O4'
_space_group_name_H-M_alt 'P b c m'
_space_group_IT_number 57
_space_group_name_Hall '-P 2c 2b'
_cell_length_a 7.900
_cell_length_b 6.448
_cell_length_c 4.839
_cell_angle_alpha 90.00
_cell_angle_beta 90.00
_cell_angle_gamma 90.00
loop_
_atom_site_label
_atom_site_type_symbol
_atom_site_fract_x
_atom_site_fract_y
_atom_site_fract_z
Pm1 Pm 0.132 0.062 0.250
Sc1 Sc 0.387 0.588 0.250
N1 N 0.394 0.588 0.750
O1 O 0.157 0.079 0.750
```

***

(3)
Diffraction record for Ni15Pb. The powder diffractogram is theoretical, not measured: it uses a structure optimized by DFT (PBE) and λ = 1.5418 Å (Cu Kα).

Peak list (10 most intense, 2θ from 10° to 90°, low angle first)
10.7°, rel. 21; 35.5°, rel. 13; 39.6°, rel. 12; 41.8°, rel. 12; 44.1°, rel. 61; 45.0°, rel. 100; 46.4°, rel. 20; 51.5°, rel. 35; 52.7°, rel. 30; 76.7°, rel. 21

Structure:
```
data_Ni15Pb
_chemical_formula_sum 'Ni30 Pb2'
_space_group_name_H-M_alt 'P 1 m 1'
_space_group_IT_number 6
_space_group_name_Hall 'P -2y'
_cell_length_a 4.950
_cell_length_b 3.477
_cell_length_c 33.111
_cell_angle_alpha 90.00
_cell_angle_beta 90.00
_cell_angle_gamma 90.00
loop_
_atom_site_label
_atom_site_type_symbol
_atom_site_fract_x
_atom_site_fract_y
_atom_site_fract_z
Ni1 Ni 0.000 0.000 0.000
Ni2 Ni 0.000 0.000 0.073
Ni3 Ni 0.000 0.000 0.147
Ni4 Ni 0.000 0.000 0.222
Ni5 Ni 0.000 0.000 0.296
Ni6 Ni 0.000 0.000 0.371
Ni7 Ni 0.000 0.000 0.520
Ni8 Ni 0.001 0.000 0.445
Ni9 Ni 0.250 0.500 0.034
Ni10 Ni 0.250 0.500 0.184
Ni11 Ni 0.250 0.500 0.259
Ni12 Ni 0.250 0.500 0.333
Ni13 Ni 0.250 0.500 0.408
Ni14 Ni 0.250 0.500 0.484
Ni15 Ni 0.251 0.500 0.110
Ni16 Ni 0.499 0.000 0.445
Ni17 Ni 0.500 0.000 0.071
Ni18 Ni 0.500 0.000 0.147
Ni19 Ni 0.500 0.000 0.222
Ni20 Ni 0.500 0.000 0.296
Ni21 Ni 0.500 0.000 0.371
Ni22 Ni 0.500 0.000 0.520
Ni23 Ni 0.749 0.500 0.110
Ni24 Ni 0.750 0.500 0.034
Ni25 Ni 0.750 0.500 0.184
Ni26 Ni 0.750 0.500 0.259
Ni27 Ni 0.750 0.500 0.333
Ni28 Ni 0.750 0.500 0.408
Ni29 Ni 0.750 0.500 0.482
Ni30 Ni 0.750 0.500 0.555
Pb1 Pb 0.250 0.500 0.578
Pb2 Pb 0.500 0.000 0.976
```

***

Q: Number 3 is which compound?
A: Ni15Pb